1.
For Y4Ga3W2N3, a cell relaxed with GGA-PBE gives the computed powder XRD pattern in this record (Cu Kα).

Most intense lines, 5 to 70 degrees two-theta, by intensity:
2theta  d [Å]  I_rel
36.80  2.442  100
36.56  2.458  54
30.78  2.905  27
40.00  2.254  23
54.37  1.687  21
17.65  5.024  20
67.78  1.383  14
30.49  2.932  11
13.09  6.762  11
54.90  1.672  10

a b c (Å): 5.811 5.811 13.925
angles (deg): 101.86 101.86 60.60
Element x y z (fractional)
Y  0.037  0.196  0.103
Y  0.127  0.302  0.397
Y  0.196  0.037  0.603
Y  0.302  0.127  0.897
Y  0.698  0.873  0.103
Y  0.804  0.963  0.397
Y  0.873  0.698  0.603
Y  0.963  0.804  0.897
Ga  0.164  0.836  0.250
Ga  0.327  0.417  0.751
Ga  0.417  0.327  0.251
Ga  0.583  0.673  0.749
Ga  0.673  0.583  0.249
Ga  0.836  0.164  0.750
W  0.347  0.524  0.074
W  0.476  0.653  0.426
W  0.524  0.347  0.574
W  0.653  0.476  0.926
N  0.000  0.500  0.000
N  0.184  0.658  0.500
N  0.342  0.816  0.000
N  0.500  0.000  0.500
N  0.658  0.184  0.000
N  0.816  0.342  0.500

2.
For Zr2Ga5N2, a cell relaxed with GGA-PBE gives the computed powder XRD pattern in this record (Cu Kα).

Most intense lines, 5 to 70 degrees two-theta, by intensity:
2theta  d [Å]  I_rel
39.88  2.260  100
38.01  2.367  96
58.72  1.572  90
35.79  2.509  88
35.68  2.517  87
34.00  2.637  74
32.93  2.720  68
37.17  2.419  47
43.11  2.099  37
66.35  1.409  31

a b c (Å): 17.654 17.654 17.654
angles (deg): 10.22 10.22 10.22
Element x y z (fractional)
Zr  0.000  0.000  0.000
Zr  0.183  0.183  0.183
Ga  0.094  0.094  0.094
Ga  0.239  0.239  0.239
Ga  0.376  0.376  0.376
Ga  0.471  0.471  0.471
Ga  0.624  0.624  0.624
N  0.413  0.413  0.413
N  0.587  0.587  0.587